(1)
Structure and theoretical PXRD pattern of LaMo2Ir2 (a GGA-PBE-relaxed structure; Cu Kα).

Atomic structure:
Cell: 4.4957 4.4957 10.0954 Å, 90.00 90.00 90.00°
Space group I4/mmm (No. 139)
Inequivalent atoms, fractional coordinates:
La  0.0000  0.0000  0.0000 [2 per cell]
Mo  0.0000  0.5000  0.2500 [4 per cell]
Ir  0.0000  0.0000  0.3670 [4 per cell]

The 10 most intense peaks (2θ = 15–90°), most intense first:
d_spacing  I_rel
2.693  100
2.248  54
1.726  37
3.179  28
1.977  27
1.589  18
1.369  16
4.107  14
1.239  13
1.842  13

=====

(2)
Structure and theoretical PXRD pattern of La8IrN4 (a GGA-PBE-relaxed structure; Cu Kα).

Atomic structure:
Cell: 11.0226 11.0226 11.0226 Å, 90.00 90.00 90.00°
Space group F-43m (No. 216)
Inequivalent atoms, fractional coordinates:
La  0.1080  0.1080  0.3920 [16 per cell]
La  0.1399  0.1399  0.8601 [16 per cell]
Ir  0.2500  0.2500  0.2500 [4 per cell]
N  0.1282  0.1282  0.6282 [16 per cell]

The 10 most intense peaks (2θ = 15–90°), most intense first:
d_spacing  I_rel
3.182  100
1.949  52
2.756  40
1.662  33
2.121  32
2.529  24
3.897  14
1.543  12
1.347  12
1.435  11

=====

(3)
Structure and theoretical PXRD pattern of SrLaIrN2 (a GGA-PBE-relaxed structure; Cu Kα).

Atomic structure:
Cell: 5.3575 5.5581 7.1398 Å, 90.00 90.00 90.00°
Space group Pccm (No. 49)
Inequivalent atoms, fractional coordinates:
Sr  0.0000  0.0000  0.2500 [2 per cell]
La  0.5000  0.5000  0.2500 [2 per cell]
Ir  0.5000  0.0000  0.0000 [2 per cell]
N  0.2732  0.2717  0.0000 [4 per cell]

The 10 most intense peaks (2θ = 15–90°), most intense first:
d_spacing  I_rel
2.620  100
5.358  50
2.779  26
2.679  23
3.004  23
1.929  23
1.572  21
1.535  20
5.558  17
1.999  16

=====

(4)
Structure and theoretical PXRD pattern of NaLa3Ir8 (a GGA-PBE-relaxed structure; Cu Kα).

Atomic structure:
Cell: 5.4350 5.4350 26.6372 Å, 90.00 90.00 120.00°
Space group R3m (No. 160, hexagonal axes)
Inequivalent atoms, fractional coordinates:
Na  0.0000  0.0000  0.0000 [3 per cell]
La  0.0000  0.0000  0.1213 [3 per cell]
La  0.0000  0.0000  0.5020 [3 per cell]
La  0.0000  0.0000  0.6304 [3 per cell]
Ir  0.0000  0.0000  0.3138 [3 per cell]
Ir  0.0000  0.0000  0.8137 [3 per cell]
Ir  0.0009  0.5004  0.0634 [9 per cell]
Ir  0.0013  0.5007  0.5643 [9 per cell]

The 10 most intense peaks (2θ = 15–90°), most intense first:
d_spacing  I_rel
2.318  100
2.219  60
1.479  33
4.438  32
1.359  31
1.159  23
1.922  15
2.718  13
1.172  11
1.764  8

=====

(5)
Structure and theoretical PXRD pattern of NaLa2IrO5 (a GGA-PBE-relaxed structure; Cu Kα).

Atomic structure:
Cell: 6.9917 6.9917 5.8280 Å, 90.00 90.00 90.00°
Space group P4/mbm (No. 127)
Inequivalent atoms, fractional coordinates:
Na  0.0000  0.0000  0.0000 [2 per cell]
La  0.1808  0.3192  0.5000 [4 per cell]
Ir  0.0000  0.5000  0.0000 [2 per cell]
O  0.0000  0.0000  0.5000 [2 per cell]
O  0.1333  0.6333  0.2473 [8 per cell]

The 10 most intense peaks (2θ = 15–90°), most intense first:
d_spacing  I_rel
2.998  100
4.944  63
2.067  43
2.755  42
2.914  32
2.132  31
1.697  27
2.472  25
3.770  23
1.885  22

=====

(6)
Structure and theoretical PXRD pattern of La3NdIr (a GGA-PBE-relaxed structure; Cu Kα).

Atomic structure:
Cell: 8.0043 6.7865 6.5307 Å, 90.00 90.00 90.00°
Space group Pmn2_1 (No. 31)
Inequivalent atoms, fractional coordinates:
La  0.0000  0.1502  0.0000 [2 per cell]
La  0.2486  0.6785  0.9997 [4 per cell]
Nd  0.0000  0.8434  0.5044 [2 per cell]
Ir  0.0000  0.4963  0.2489 [2 per cell]

The 10 most intense peaks (2θ = 15–90°), most intense first:
d_spacing  I_rel
3.049  100
3.011  48
2.371  48
1.969  33
4.057  32
5.060  25
1.841  23
2.000  23
2.353  22
1.667  20

=====

(7)
Structure and theoretical PXRD pattern of LaNd8Ir6 (a GGA-PBE-relaxed structure; Cu Kα).

Atomic structure:
Cell: 8.5284 8.5284 18.7970 Å, 90.00 90.00 120.00°
Space group R-3 (No. 148, hexagonal axes)
Inequivalent atoms, fractional coordinates:
La  0.0000  0.0000  0.0000 [3 per cell]
Nd  0.0000  0.0000  0.3348 [6 per cell]
Nd  0.0024  0.6720  0.2211 [18 per cell]
Ir  0.0014  0.3340  0.6085 [18 per cell]

The 10 most intense peaks (2θ = 15–90°), most intense first:
d_spacing  I_rel
2.525  100
2.462  90
1.433  35
1.763  34
4.264  21
1.470  19
1.123  17
3.525  16
1.421  16
1.106  16

=====

(8)
Structure and theoretical PXRD pattern of LaNd3Ir (a GGA-PBE-relaxed structure; Cu Kα).

Atomic structure:
Cell: 9.9650 10.1919 6.8438 Å, 90.00 111.74 90.00°
Space group C2/m (No. 12)
Inequivalent atoms, fractional coordinates:
La  0.0674  0.0000  0.2675 [4 per cell]
Nd  0.0650  0.5000  0.2650 [4 per cell]
Nd  0.1844  0.2507  0.7342 [8 per cell]
Ir  0.2476  0.0000  0.9959 [4 per cell]

The 10 most intense peaks (2θ = 15–90°), most intense first:
d_spacing  I_rel
2.734  100
2.720  97
2.548  56
2.491  53
1.781  39
4.639  33
3.430  33
2.065  25
3.179  24
2.074  24